Calculated XRD peak list
Compound: SrSi3Ni3
Radiation: Cu Kα, 1.54184 Å
Structure: the PBE geometry in Alexandria
Peak positions follow from Bragg's law for the DFT cell and can differ from measured ones.

Cell and atoms:
a b c (Å): 8.2119 8.2119 8.2119
angles (deg): 43.64 43.64 43.64
Fractional positions:
Sr 0.1693 0.1693 0.1693
Sr 0.8307 0.8307 0.8307
Si 0.1766 0.6626 0.3684
Si 0.3374 0.6316 0.8234
Si 0.3684 0.1766 0.6626
Si 0.6316 0.8234 0.3374
Si 0.6626 0.3684 0.1766
Si 0.8234 0.3374 0.6316
Ni 0.0632 0.5758 0.2559
Ni 0.2559 0.0632 0.5758
Ni 0.4242 0.7441 0.9368
Ni 0.5758 0.2559 0.0632
Ni 0.7441 0.9368 0.4242
Ni 0.9368 0.4242 0.7441

The 6 most intense peaks (10 to 90 degrees two-theta), sorted by position:
7.417 Å, 11.93 deg, I 64; 4.775 Å, 18.58 deg, I 36; 2.822 Å, 31.70 deg, I 100; 2.357 Å, 38.19 deg, I 45; 1.990 Å, 45.58 deg, I 58; 1.921 Å, 47.32 deg, I 33

---

Calculated XRD peak list
Compound: TaSiNi6
Radiation: Cu Kα, 1.54184 Å
Structure: the PBE geometry in Alexandria
Peak positions follow from Bragg's law for the DFT cell and can differ from measured ones.

Cell and atoms:
a b c (Å): 6.2345 6.2345 10.1829
angles (deg): 90.00 90.00 109.90
Fractional positions:
Ta 0.0000 0.0000 0.2455
Ta 0.0000 0.0000 0.7545
Ta 0.2431 0.7569 0.5000
Ta 0.7569 0.2431 0.5000
Si 0.2405 0.7595 0.0000
Si 0.5000 0.5000 0.2430
Si 0.5000 0.5000 0.7570
Si 0.7595 0.2405 0.0000
Ni 0.0000 0.0000 0.0000
Ni 0.0000 0.0000 0.5000
Ni 0.1291 0.3806 0.1218
Ni 0.1291 0.3806 0.8782
Ni 0.1335 0.3800 0.3712
Ni 0.1335 0.3800 0.6288
Ni 0.2517 0.7483 0.2448
Ni 0.2517 0.7483 0.7552
Ni 0.3800 0.1335 0.3712
Ni 0.3800 0.1335 0.6288
Ni 0.3806 0.1291 0.1218
Ni 0.3806 0.1291 0.8782
Ni 0.5000 0.5000 0.0000
Ni 0.5000 0.5000 0.5000
Ni 0.6194 0.8709 0.1218
Ni 0.6194 0.8709 0.8782
Ni 0.6200 0.8665 0.3712
Ni 0.6200 0.8665 0.6288
Ni 0.7483 0.2517 0.2448
Ni 0.7483 0.2517 0.7552
Ni 0.8665 0.6200 0.3712
Ni 0.8665 0.6200 0.6288
Ni 0.8709 0.6194 0.1218
Ni 0.8709 0.6194 0.8782

The 6 most intense peaks (10 to 90 degrees two-theta), sorted by position:
5.862 Å, 15.11 deg, I 10; 3.844 Å, 23.14 deg, I 7; 2.076 Å, 43.59 deg, I 100; 1.802 Å, 50.65 deg, I 32; 1.790 Å, 51.01 deg, I 15; 1.270 Å, 74.74 deg, I 19

---

Calculated XRD peak list
Compound: Ta6Si7Ni16
Radiation: Cu Kα, 1.54184 Å
Structure: the PBE geometry in Alexandria
Peak positions follow from Bragg's law for the DFT cell and can differ from measured ones.

Cell and atoms:
a b c (Å): 7.9521 7.9521 7.9521
angles (deg): 60.00 60.00 60.00
Fractional positions:
Ta 0.2031 0.2031 0.7969
Ta 0.2031 0.7969 0.2031
Ta 0.2031 0.7969 0.7969
Ta 0.7969 0.2031 0.2031
Ta 0.7969 0.2031 0.7969
Ta 0.7969 0.7969 0.2031
Si 0.0000 0.0000 0.5000
Si 0.0000 0.5000 0.0000
Si 0.0000 0.5000 0.5000
Si 0.5000 0.0000 0.0000
Si 0.5000 0.0000 0.5000
Si 0.5000 0.5000 0.0000
Si 0.5000 0.5000 0.5000
Ni 0.1499 0.6167 0.6167
Ni 0.1670 0.1670 0.1670
Ni 0.1670 0.1670 0.4991
Ni 0.1670 0.4991 0.1670
Ni 0.3833 0.3833 0.3833
Ni 0.3833 0.3833 0.8501
Ni 0.3833 0.8501 0.3833
Ni 0.4991 0.1670 0.1670
Ni 0.5009 0.8330 0.8330
Ni 0.6167 0.1499 0.6167
Ni 0.6167 0.6167 0.1499
Ni 0.6167 0.6167 0.6167
Ni 0.8330 0.5009 0.8330
Ni 0.8330 0.8330 0.5009
Ni 0.8330 0.8330 0.8330
Ni 0.8501 0.3833 0.3833

The 6 most intense peaks (10 to 90 degrees two-theta), sorted by position:
3.246 Å, 27.47 deg, I 45; 2.296 Å, 39.25 deg, I 29; 2.164 Å, 41.73 deg, I 100; 1.988 Å, 45.63 deg, I 64; 1.464 Å, 63.54 deg, I 20; 1.325 Å, 71.14 deg, I 23